Fe2Pd13: theoretical PXRD pattern (λ = 1.5418 Å (Cu Kα)), based on DFT lattice parameters and positions (GGA-PBE).
Intensities are scaled so that the largest is 100.

Structural model:
```
data_Fe2Pd13
_chemical_formula_sum 'Fe6 Pd39'
_symmetry_space_group_name_H-M 'R -3 m'
_symmetry_Int_Tables_number 166
_symmetry_space_group_name_Hall '-R 3 2"'
_cell_length_a 7.1661
_cell_length_b 7.1661
_cell_length_c 19.6331
_cell_angle_alpha 90.00
_cell_angle_beta 90.00
_cell_angle_gamma 120.00
loop_
_atom_site_label
_atom_site_fract_x
_atom_site_fract_y
_atom_site_fract_z
_atom_site_occupancy
Fe1 0.0000 0.0000 0.2393 1
Pd1 0.0000 0.0000 0.0000 1
Pd2 0.0712 0.5356 0.5604 1
Pd3 0.0898 0.5449 0.3089 1
```

Most intense lines, 15 to 90 degrees two-theta, in order of falling intensity:
hkl 2 1 4, d 2.116, intensity 100.0; hkl 0 2 1, d 3.065, intensity 61.9; hkl 2 1 1, d 2.329, intensity 51.8; hkl 0 3 3, d 1.972, intensity 50.1; hkl 1 2 5, d 2.014, intensity 46.2; hkl 0 1 8, d 2.282, intensity 44.7; hkl 0 2 7, d 2.081, intensity 34.8; hkl 2 0 8, d 1.925, intensity 28.9; hkl 3 0 12, d 1.283, intensity 28.0; hkl 0 0 9, d 2.181, intensity 21.0


NdNp2S4: theoretical PXRD pattern (λ = 1.5418 Å (Cu Kα)), based on DFT lattice parameters and positions (GGA-PBE).
Intensities are scaled so that the largest is 100.

Structural model:
```
data_NdNp2S4
_chemical_formula_sum 'Nd4 Np8 S16'
_symmetry_space_group_name_H-M 'C m c m'
_symmetry_Int_Tables_number 63
_symmetry_space_group_name_Hall '-C 2c 2'
_cell_length_a 3.899
_cell_length_b 13.013
_cell_length_c 13.129
_cell_angle_alpha 90.00
_cell_angle_beta 90.00
_cell_angle_gamma 90.00
loop_
_atom_site_label
_atom_site_fract_x
_atom_site_fract_y
_atom_site_fract_z
_atom_site_occupancy
Nd1 0.000 0.120 0.250 1
Np1 0.000 0.367 0.066 1
S1 0.000 0.000 0.000 1
S2 0.000 0.272 0.623 1
S3 0.000 0.461 0.250 1
```

Most intense lines, 15 to 90 degrees two-theta, in order of falling intensity:
hkl 0 2 3, d 3.631, intensity 100.0; hkl 0 4 0, d 3.250, intensity 60.7; hkl 1 3 2, d 2.652, intensity 47.7; hkl 0 6 3, d 1.942, intensity 39.1; hkl 1 1 5, d 2.148, intensity 33.0; hkl 2 0 0, d 1.948, intensity 30.6; hkl 1 3 1, d 2.832, intensity 29.4; hkl 2 2 3, d 1.718, intensity 25.4; hkl 1 1 1, d 3.593, intensity 24.9; hkl 2 4 0, d 1.671, intensity 21.6


ZrSnGeO6: theoretical PXRD pattern (λ = 1.5418 Å (Cu Kα)), based on DFT lattice parameters and positions (GGA-PBE).
Intensities are scaled so that the largest is 100.

Structural model:
```
data_ZrSnGeO6
_chemical_formula_sum 'Zr2 Sn2 Ge2 O12'
_symmetry_space_group_name_H-M 'P -3 1 c'
_symmetry_Int_Tables_number 163
_symmetry_space_group_name_Hall '-P 3 2c'
_cell_length_a 5.2063
_cell_length_b 5.2063
_cell_length_c 8.9566
_cell_angle_alpha 90.00
_cell_angle_beta 90.00
_cell_angle_gamma 120.00
loop_
_atom_site_label
_atom_site_fract_x
_atom_site_fract_y
_atom_site_fract_z
_atom_site_occupancy
Zr1 0.3333 0.6667 0.2500 1
Sn1 0.0000 0.0000 0.0000 1
Ge1 0.3333 0.6667 0.7500 1
O1 0.0263 0.3542 0.6306 1
```

Most intense lines, 15 to 90 degrees two-theta, in order of falling intensity:
hkl 1 0 2, d 3.177, intensity 100.0; hkl 1 1 4, d 1.698, intensity 41.6; hkl 1 1 0, d 2.603, intensity 40.1; hkl 2 0 2, d 2.014, intensity 27.7; hkl 2 1 2, d 1.593, intensity 26.5; hkl 3 0 0, d 1.503, intensity 16.7; hkl 4 -1 2, d 1.204, intensity 10.8; hkl 4 -2 4, d 1.125, intensity 10.5; hkl 3 -1 6, d 1.123, intensity 9.0; hkl 1 0 6, d 1.417, intensity 9.0


Rb2AsRuO6: theoretical PXRD pattern (λ = 1.5418 Å (Cu Kα)), based on DFT lattice parameters and positions (GGA-PBE).
Intensities are scaled so that the largest is 100.

Structural model:
```
data_Rb2AsRuO6
_chemical_formula_sum 'Rb8 As4 Ru4 O24'
_symmetry_space_group_name_H-M 'F m m m'
_symmetry_Int_Tables_number 69
_symmetry_space_group_name_Hall '-F 2 2'
_cell_length_a 8.000
_cell_length_b 8.023
_cell_length_c 8.090
_cell_angle_alpha 90.00
_cell_angle_beta 90.00
_cell_angle_gamma 90.00
loop_
_atom_site_label
_atom_site_fract_x
_atom_site_fract_y
_atom_site_fract_z
_atom_site_occupancy
Rb1 0.250 0.250 0.250 1
As1 0.000 0.000 0.000 1
Ru1 0.000 0.000 0.500 1
O1 0.000 0.000 0.260 1
O2 0.000 0.230 0.000 1
O3 0.246 0.000 0.500 1
```

Most intense lines, 15 to 90 degrees two-theta, in order of falling intensity:
hkl 0 2 2, d 2.846, intensity 100.0; hkl 2 2 0, d 2.832, intensity 49.4; hkl 4 2 2, d 1.638, intensity 38.2; hkl 2 2 4, d 1.646, intensity 19.5; hkl 0 0 4, d 2.022, intensity 17.7; hkl 4 0 0, d 2.000, intensity 17.1; hkl 0 4 0, d 2.006, intensity 17.0; hkl 4 0 4, d 1.422, intensity 10.4; hkl 0 4 4, d 1.424, intensity 10.3; hkl 4 4 4, d 1.160, intensity 10.2